[1]
Simulated X-ray diffraction stick pattern of HfFeSi for Cu Kα X-rays, from a GGA-PBE-relaxed structure.

Principal peaks in the range 2θ = 10–90°, in order of rising 2θ:
25.8°, intensity 45
28.1°, intensity 18
37.2°, intensity 40
38.5°, intensity 100
41.5°, intensity 19
45.3°, intensity 20
45.6°, intensity 21
64.6°, intensity 19

Cell and atoms:
a b c (Å): 6.347 3.982 6.942
angles (deg): 90.00 90.00 90.00
Space group Pnma (No. 62)
Symmetry-distinct sites (fractional):
Hf  0.006  0.250  0.199
Fe  0.157  0.750  0.439
Si  0.210  0.250  0.607



[2]
Simulated X-ray diffraction stick pattern of Hf2Fe3Si for Cu Kα X-rays, from a GGA-PBE-relaxed structure.

Principal peaks in the range 2θ = 10–90°, in order of rising 2θ:
20.7°, intensity 33
30.6°, intensity 25
36.3°, intensity 59
39.9°, intensity 100
43.0°, intensity 78
43.7°, intensity 49
67.7°, intensity 40
74.1°, intensity 25

Cell and atoms:
a b c (Å): 4.9491 4.9491 7.9761
angles (deg): 90.00 90.00 120.00
Space group P6_3/mmc (No. 194)
Symmetry-distinct sites (fractional):
Hf  0.3333  0.6667  0.0637
Fe  0.1700  0.3399  0.7500
Si  0.0000  0.0000  0.0000



[3]
Simulated X-ray diffraction stick pattern of Hf3Fe2Si3 for Cu Kα X-rays, from a GGA-PBE-relaxed structure.

Principal peaks in the range 2θ = 10–90°, in order of rising 2θ:
25.8°, intensity 36
27.5°, intensity 51
36.5°, intensity 75
37.6°, intensity 100
39.5°, intensity 25
41.7°, intensity 40
42.1°, intensity 36
47.2°, intensity 33

Cell and atoms:
a b c (Å): 3.854 9.912 12.857
angles (deg): 90.00 90.00 90.00
Space group Cmcm (No. 63)
Symmetry-distinct sites (fractional):
Hf  0.000  0.078  0.113
Hf  0.000  0.363  0.250
Fe  0.000  0.220  0.582
Si  0.000  0.336  0.750
Si  0.000  0.388  0.042